No. 1
# EuNi10P6
Calculated powder XRD pattern, copper Kα. Input: a DFT-relaxed cell (GGA-PBE, the Materials Project).
Peak positions follow from Bragg's law for the DFT cell and can differ from measured ones.

Main lines, low angle first (2θ from 10° to 80°):
2theta	I_rel
30.12	80
32.77	56
35.88	100
36.59	74
37.86	81
47.92	74

Structure:
Lattice parameters (Å, degrees): 8.664 8.664 8.737 90.00 90.00 136.73
Positions (direct):
Eu 0.000 0.000 0.000
Eu 0.500 0.500 0.500
Ni 0.028 0.374 0.470
Ni 0.043 0.957 0.619
Ni 0.088 0.412 0.750
Ni 0.126 0.472 0.030
Ni 0.207 0.793 0.789
Ni 0.293 0.707 0.289
Ni 0.374 0.028 0.530
Ni 0.412 0.088 0.250
Ni 0.457 0.543 0.119
Ni 0.472 0.126 0.970
Ni 0.528 0.874 0.030
Ni 0.543 0.457 0.881
Ni 0.588 0.912 0.750
Ni 0.626 0.972 0.470
Ni 0.707 0.293 0.711
Ni 0.793 0.207 0.211
Ni 0.874 0.528 0.970
Ni 0.912 0.588 0.250
Ni 0.957 0.043 0.381
Ni 0.972 0.626 0.530
P 0.091 0.909 0.371
P 0.145 0.355 0.250
P 0.209 0.791 0.073
P 0.291 0.709 0.573
P 0.355 0.145 0.750
P 0.409 0.591 0.871
P 0.591 0.409 0.129
P 0.645 0.855 0.250
P 0.709 0.291 0.427
P 0.791 0.209 0.927
P 0.855 0.645 0.750
P 0.909 0.091 0.629

No. 2
# Eu2Ni12P5
Calculated powder XRD pattern, copper Kα. Input: a DFT-relaxed cell (GGA-PBE, the Materials Project).
Peak positions follow from Bragg's law for the DFT cell and can differ from measured ones.

Main lines, low angle first (2θ from 10° to 80°):
2theta	I_rel
32.20	33
35.73	80
37.62	97
37.69	100
42.76	73
49.74	78

Structure:
Lattice parameters (Å, degrees): 10.886 3.666 13.223 90.00 107.98 90.00
Positions (direct):
Eu 0.220 0.250 0.183
Eu 0.252 0.250 0.688
Eu 0.748 0.750 0.312
Eu 0.780 0.750 0.817
Ni 0.062 0.750 0.296
Ni 0.078 0.750 0.990
Ni 0.081 0.750 0.490
Ni 0.094 0.750 0.805
Ni 0.201 0.250 0.418
Ni 0.213 0.250 0.939
Ni 0.344 0.750 0.061
Ni 0.344 0.750 0.365
Ni 0.428 0.250 0.514
Ni 0.434 0.250 0.949
Ni 0.490 0.750 0.651
Ni 0.494 0.750 0.841
Ni 0.506 0.250 0.159
Ni 0.510 0.250 0.349
Ni 0.566 0.750 0.051
Ni 0.572 0.750 0.486
Ni 0.656 0.250 0.635
Ni 0.656 0.250 0.939
Ni 0.787 0.750 0.061
Ni 0.799 0.750 0.582
Ni 0.906 0.250 0.195
Ni 0.919 0.250 0.510
Ni 0.922 0.250 0.010
Ni 0.938 0.250 0.704
P 0.006 0.250 0.878
P 0.009 0.750 0.629
P 0.299 0.750 0.516
P 0.311 0.750 0.887
P 0.449 0.750 0.240
P 0.551 0.250 0.760
P 0.689 0.250 0.113
P 0.701 0.250 0.484
P 0.991 0.250 0.371
P 0.994 0.750 0.122